Simulated powder X-ray diffraction pattern of MnH2SO5 for λ = 1.5418 Å (Cu Kα), from a DFT-relaxed cell (PBE+U, Alexandria).
Kinematic intensities with the Lorentz-polarization factor, no thermal factor.

Cell and atoms:
a b c (Å): 6.8944 8.1188 7.9329
angles (deg): 90.00 114.89 90.00
Space group C2/c (No. 15)
Inequivalent atoms, fractional coordinates:
Mn1 0.2500 0.2500 0.0000 [4 per cell]
H1 0.0940 0.0387 0.7128 [8 per cell]
S1 0.0000 0.4161 0.2500 [4 per cell]
O1 0.0000 0.1100 0.7500 [4 per cell]
O2 0.0194 0.3123 0.1049 [8 per cell]
O3 0.1946 0.4756 0.8343 [8 per cell]

Principal peaks in the range 10 to 90 degrees two-theta, low angle first:
- hkl 1 1 0, 2θ 17.90, I = 48
- hkl 1 1 -1, 2θ 18.04, I = 44
- hkl 1 1 1, 2θ 24.99, I = 100
- hkl 0 2 1, 2θ 25.22, I = 66
- hkl 2 0 -2, 2θ 28.89, I = 44
- hkl 0 2 2, 2θ 33.27, I = 63
- hkl 1 3 -1, 2θ 36.24, I = 21
- hkl 2 2 -4, 2θ 51.91, I = 22